Record 1
The following is a theoretical powder X-ray diffraction pattern of K3Zr4. It was derived from a crystal structure in Alexandria, relaxed with GGA-PBE, using Cu Kα, 1.54184 Å.
Intensities are scaled so that the largest is 100.

Crystal structure
```
K3Zr4
1.0
5.5851 0.0000 0.0000
-2.7925 4.8368 0.0000
0.0000 0.0000 7.7390
K Zr
3 4
direct
0.0000 0.5000 0.0000
0.5000 0.0000 0.0000
0.5000 0.5000 0.0000
0.0000 0.0000 0.3350
0.0000 0.0000 0.6650
0.3333 0.6667 0.5000
0.6667 0.3333 0.5000
```

The 10 most intense peaks (10 to 80 degrees two-theta), low angle first:
- 11.43°, rel. 53
- 22.98°, rel. 22
- 29.56°, rel. 72
- 32.05°, rel. 63
- 34.13°, rel. 100
- 39.59°, rel. 36
- 51.82°, rel. 44
- 55.60°, rel. 22
- 58.47°, rel. 20
- 62.24°, rel. 19



Record 2
The following is a theoretical powder X-ray diffraction pattern of KZr. It was derived from a crystal structure in Alexandria, relaxed with GGA-PBE, using Cu Kα, 1.54184 Å.
Intensities are scaled so that the largest is 100.

Crystal structure
```
KZr
1.0
3.3532 0.0000 0.0000
0.0000 3.3532 0.0000
0.0000 0.0000 12.9221
K Zr
2 2
direct
0.2500 0.2500 0.1638
0.7500 0.7500 0.8362
0.2500 0.2500 0.5757
0.7500 0.7500 0.4243
```

The 10 most intense peaks (10 to 80 degrees two-theta), low angle first:
- 13.71°, rel. 15
- 20.62°, rel. 16
- 30.02°, rel. 100
- 33.88°, rel. 46
- 37.95°, rel. 37
- 38.65°, rel. 27
- 44.25°, rel. 27
- 54.75°, rel. 12
- 63.71°, rel. 21
- 65.96°, rel. 13



Record 3
The following is a theoretical powder X-ray diffraction pattern of K8Zr. It was derived from a crystal structure in Alexandria, relaxed with GGA-PBE, using Cu Kα, 1.54184 Å.
Intensities are scaled so that the largest is 100.

Crystal structure
```
K8Zr
1.0
-6.5895 6.5895 3.1687
6.5895 -6.5895 3.1687
6.5895 6.5895 -3.1687
K Zr
8 1
direct
0.0000 0.3125 0.3125
0.0000 0.6875 0.6875
0.3125 0.0000 0.3125
0.3470 0.3470 0.6941
0.3470 0.6530 0.0000
0.6530 0.3470 0.0000
0.6530 0.6530 0.3059
0.6875 0.0000 0.6875
0.0000 0.0000 0.0000
```

The 10 most intense peaks (10 to 80 degrees two-theta), low angle first:
- 24.66°, rel. 100
- 28.16°, rel. 21
- 28.74°, rel. 31
- 31.34°, rel. 12
- 40.67°, rel. 22
- 41.09°, rel. 10
- 47.77°, rel. 14
- 48.51°, rel. 25
- 50.56°, rel. 10
- 64.81°, rel. 8



Record 4
The following is a theoretical powder X-ray diffraction pattern of Si23Kr3. It was derived from a crystal structure in Alexandria, relaxed with GGA-PBE, using Cu Kα, 1.54184 Å.
Intensities are scaled so that the largest is 100.

Crystal structure
```
Si23Kr3
1.0
10.3260 0.0000 0.0000
0.0000 10.3260 0.0000
0.0000 0.0000 10.3260
Si Kr
46 6
direct
0.0000 0.1180 0.3057
0.0000 0.1180 0.6943
0.0000 0.2500 0.5000
0.0000 0.7500 0.5000
0.0000 0.8820 0.3057
0.0000 0.8820 0.6943
0.1180 0.3057 0.0000
0.1180 0.6943 0.0000
0.1837 0.1837 0.1837
0.1837 0.1837 0.8163
0.1837 0.8163 0.1837
0.1837 0.8163 0.8163
0.1943 0.3820 0.5000
0.1943 0.6180 0.5000
0.2500 0.5000 0.0000
0.3057 0.0000 0.1180
0.3057 0.0000 0.8820
0.3163 0.3163 0.3163
0.3163 0.3163 0.6837
0.3163 0.6837 0.3163
0.3163 0.6837 0.6837
0.3820 0.5000 0.1943
0.3820 0.5000 0.8057
0.5000 0.0000 0.2500
0.5000 0.0000 0.7500
0.5000 0.1943 0.3820
0.5000 0.1943 0.6180
0.5000 0.8057 0.3820
0.5000 0.8057 0.6180
0.6180 0.5000 0.1943
0.6180 0.5000 0.8057
0.6837 0.3163 0.3163
0.6837 0.3163 0.6837
0.6837 0.6837 0.3163
0.6837 0.6837 0.6837
0.6943 0.0000 0.1180
0.6943 0.0000 0.8820
0.7500 0.5000 0.0000
0.8057 0.3820 0.5000
0.8057 0.6180 0.5000
0.8163 0.1837 0.1837
0.8163 0.1837 0.8163
0.8163 0.8163 0.1837
0.8163 0.8163 0.8163
0.8820 0.3057 0.0000
0.8820 0.6943 0.0000
0.0000 0.5000 0.2500
0.0000 0.5000 0.7500
0.2500 0.0000 0.5000
0.5000 0.2500 0.0000
0.5000 0.7500 0.0000
0.7500 0.0000 0.5000
```

The 10 most intense peaks (10 to 80 degrees two-theta), low angle first:
- 12.12°, rel. 18
- 27.31°, rel. 22
- 29.98°, rel. 82
- 31.23°, rel. 84
- 32.44°, rel. 100
- 34.75°, rel. 25
- 35.86°, rel. 16
- 51.61°, rel. 67
- 53.22°, rel. 19
- 54.80°, rel. 45



Record 5
The following is a theoretical powder X-ray diffraction pattern of Si23Kr4. It was derived from a crystal structure in Alexandria, relaxed with GGA-PBE, using Cu Kα, 1.54184 Å.
Intensities are scaled so that the largest is 100.

Crystal structure
```
Si23Kr4
1.0
10.3763 0.0000 0.0000
0.0000 10.3763 0.0000
0.0000 0.0000 10.3763
Si Kr
46 8
direct
0.0000 0.1187 0.3065
0.0000 0.1187 0.6935
0.0000 0.2500 0.5000
0.0000 0.7500 0.5000
0.0000 0.8813 0.3065
0.0000 0.8813 0.6935
0.1187 0.3065 0.0000
0.1187 0.6935 0.0000
0.1845 0.1845 0.1845
0.1845 0.1845 0.8155
0.1845 0.8155 0.1845
0.1845 0.8155 0.8155
0.1935 0.3813 0.5000
0.1935 0.6187 0.5000
0.2500 0.5000 0.0000
0.3065 0.0000 0.1187
0.3065 0.0000 0.8813
0.3155 0.3155 0.3155
0.3155 0.3155 0.6845
0.3155 0.6845 0.3155
0.3155 0.6845 0.6845
0.3813 0.5000 0.1935
0.3813 0.5000 0.8065
0.5000 0.0000 0.2500
0.5000 0.0000 0.7500
0.5000 0.1935 0.3813
0.5000 0.1935 0.6187
0.5000 0.8065 0.3813
0.5000 0.8065 0.6187
0.6187 0.5000 0.1935
0.6187 0.5000 0.8065
0.6845 0.3155 0.3155
0.6845 0.3155 0.6845
0.6845 0.6845 0.3155
0.6845 0.6845 0.6845
0.6935 0.0000 0.1187
0.6935 0.0000 0.8813
0.7500 0.5000 0.0000
0.8065 0.3813 0.5000
0.8065 0.6187 0.5000
0.8155 0.1845 0.1845
0.8155 0.1845 0.8155
0.8155 0.8155 0.1845
0.8155 0.8155 0.8155
0.8813 0.3065 0.0000
0.8813 0.6935 0.0000
0.0000 0.0000 0.0000
0.0000 0.5000 0.2500
0.0000 0.5000 0.7500
0.2500 0.0000 0.5000
0.5000 0.2500 0.0000
0.5000 0.5000 0.5000
0.5000 0.7500 0.0000
0.7500 0.0000 0.5000
```

The 10 most intense peaks (10 to 80 degrees two-theta), low angle first:
- 29.83°, rel. 27
- 31.08°, rel. 43
- 32.28°, rel. 100
- 34.58°, rel. 20
- 38.81°, rel. 9
- 51.34°, rel. 20
- 52.95°, rel. 18
- 54.52°, rel. 41
- 66.18°, rel. 11
- 71.61°, rel. 10



Record 6
The following is a theoretical powder X-ray diffraction pattern of Li6La. It was derived from a crystal structure in Alexandria, relaxed with GGA-PBE, using Cu Kα, 1.54184 Å.
Intensities are scaled so that the largest is 100.

Crystal structure
```
Li6La
1.0
7.0023 0.0000 0.0000
0.0000 7.0023 0.0000
0.0000 0.0000 7.0023
Li La
12 2
direct
0.0000 0.2500 0.5000
0.0000 0.5000 0.2500
0.0000 0.5000 0.7500
0.0000 0.7500 0.5000
0.2500 0.0000 0.5000
0.2500 0.5000 0.0000
0.5000 0.0000 0.2500
0.5000 0.0000 0.7500
0.5000 0.2500 0.0000
0.5000 0.7500 0.0000
0.7500 0.0000 0.5000
0.7500 0.5000 0.0000
0.0000 0.0000 0.0000
0.5000 0.5000 0.5000
```

The 10 most intense peaks (10 to 80 degrees two-theta), low angle first:
- 17.91°, rel. 100
- 25.44°, rel. 30
- 31.29°, rel. 70
- 36.29°, rel. 17
- 40.75°, rel. 25
- 48.65°, rel. 41
- 55.69°, rel. 15
- 58.99°, rel. 11
- 68.30°, rel. 16
- 74.17°, rel. 11